(1)
Calculated XRD peak list
Compound: Na2PrCuCl6
Radiation: λ = 1.5418 Å (Cu Kα)
Structure: a GGA-PBE-relaxed structure
Lines closer than 0.1° are merged.

Atomic structure:
```
Na2PrCuCl6
1.0
0.000 5.236 5.236
5.236 0.000 5.236
5.236 5.236 0.000
Na Pr Cu Cl
2 1 1 6
direct
0.250 0.250 0.250
0.750 0.750 0.750
0.000 0.000 0.000
0.500 0.500 0.500
0.261 0.261 0.739
0.261 0.739 0.261
0.261 0.739 0.739
0.739 0.261 0.261
0.739 0.261 0.739
0.739 0.739 0.261
```

Principal peaks in the range 2θ from 10° to 90°, in order of rising 2θ:
2θ/deg  I/Imax
16.9  100
24.0  53
28.3  12
34.3  68
38.4  47
42.3  24
49.2  44
52.4  23
61.3  14
66.9  13
74.8  12
82.4  18

=====

(2)
Calculated XRD peak list
Compound: Na2ScCuCl6
Radiation: λ = 1.5418 Å (Cu Kα)
Structure: a GGA-PBE-relaxed structure
Lines closer than 0.1° are merged.

Atomic structure:
```
Na2ScCuCl6
1.0
0.000 4.984 4.984
4.984 0.000 4.984
4.984 4.984 0.000
Na Sc Cu Cl
2 1 1 6
direct
0.250 0.250 0.250
0.750 0.750 0.750
0.000 0.000 0.000
0.500 0.500 0.500
0.250 0.250 0.750
0.250 0.750 0.250
0.250 0.750 0.750
0.750 0.250 0.250
0.750 0.250 0.750
0.750 0.750 0.250
```

Principal peaks in the range 2θ from 10° to 90°, in order of rising 2θ:
2θ/deg  I/Imax
17.8  87
25.3  29
31.1  33
36.0  100
40.5  37
44.5  13
51.9  62
55.3  17
61.7  10
64.8  20
79.2  9
87.5  25

=====

(3)
Calculated XRD peak list
Compound: Na2SmCuCl6
Radiation: λ = 1.5418 Å (Cu Kα)
Structure: a GGA-PBE-relaxed structure
Lines closer than 0.1° are merged.

Atomic structure:
```
Na2SmCuCl6
1.0
0.000 5.184 5.184
5.184 0.000 5.184
5.184 5.184 0.000
Na Sm Cu Cl
2 1 1 6
direct
0.250 0.250 0.250
0.750 0.750 0.750
0.000 0.000 0.000
0.500 0.500 0.500
0.258 0.258 0.742
0.258 0.742 0.258
0.258 0.742 0.742
0.742 0.258 0.258
0.742 0.258 0.742
0.742 0.742 0.258
```

Principal peaks in the range 2θ from 10° to 90°, in order of rising 2θ:
2θ/deg  I/Imax
14.8  14
17.1  100
24.3  53
28.6  13
34.6  66
38.8  47
42.7  25
49.7  43
53.0  23
62.0  14
67.6  13
83.4  18

=====

(4)
Calculated XRD peak list
Compound: Na2TlCuCl6
Radiation: λ = 1.5418 Å (Cu Kα)
Structure: a GGA-PBE-relaxed structure
Lines closer than 0.1° are merged.

Atomic structure:
```
Na2TlCuCl6
1.0
0.000 5.114 5.114
5.114 0.000 5.114
5.114 5.114 0.000
Na Tl Cu Cl
2 1 1 6
direct
0.250 0.250 0.250
0.750 0.750 0.750
0.000 0.000 0.000
0.500 0.500 0.500
0.262 0.262 0.738
0.262 0.738 0.262
0.262 0.738 0.738
0.738 0.262 0.262
0.738 0.262 0.738
0.738 0.738 0.262
```

Principal peaks in the range 2θ from 10° to 90°, in order of rising 2θ:
2θ/deg  I/Imax
15.0  25
17.3  100
24.6  59
29.0  24
35.1  56
38.4  15
39.4  48
43.3  27
50.5  36
53.8  24
68.7  14
84.8  15

=====

(5)
Calculated XRD peak list
Compound: SrNb2CuClO7
Radiation: λ = 1.5418 Å (Cu Kα)
Structure: a GGA-PBE-relaxed structure
Lines closer than 0.1° are merged.

Atomic structure:
```
SrNb2CuClO7
1.0
3.958 0.000 0.000
0.000 3.958 0.000
0.000 0.000 11.662
Sr Nb Cu Cl O
1 2 1 1 7
direct
0.000 0.000 0.000
0.500 0.500 0.188
0.500 0.500 0.812
0.500 0.500 0.500
0.000 0.000 0.500
0.000 0.500 0.159
0.000 0.500 0.841
0.500 0.000 0.159
0.500 0.000 0.841
0.500 0.500 0.000
0.500 0.500 0.346
0.500 0.500 0.654
```

Principal peaks in the range 2θ from 10° to 90°, in order of rising 2θ:
2θ/deg  I/Imax
22.5  66
22.9  40
27.2  79
32.0  100
32.3  88
44.9  29
45.8  63
46.7  22
54.1  22
57.2  36
57.7  25
67.5  26

=====

(6)
Calculated XRD peak list
Compound: Nb3TlCuCl9
Radiation: λ = 1.5418 Å (Cu Kα)
Structure: a GGA-PBE-relaxed structure
Lines closer than 0.1° are merged.

Atomic structure:
```
Nb3TlCuCl9
1.0
9.379 0.000 0.000
-1.000 9.333 0.000
-2.469 -4.917 7.626
Nb Tl Cu Cl
6 2 2 18
direct
0.133 0.343 0.393
0.140 0.573 0.750
0.142 0.701 0.520
0.858 0.299 0.480
0.860 0.427 0.250
0.867 0.657 0.607
0.340 0.267 0.982
0.660 0.733 0.018
0.380 0.950 0.310
0.620 0.050 0.690
0.001 0.651 0.230
0.006 0.767 0.919
0.011 0.922 0.651
0.304 0.147 0.254
0.323 0.401 0.670
0.323 0.553 0.400
0.330 0.672 0.073
0.331 0.825 0.821
0.332 0.962 0.552
0.668 0.038 0.448
0.669 0.175 0.179
0.670 0.328 0.927
0.677 0.447 0.600
0.677 0.599 0.330
0.696 0.853 0.746
0.989 0.078 0.349
0.994 0.233 0.081
0.999 0.349 0.770
```

Principal peaks in the range 2θ from 10° to 90°, in order of rising 2θ:
2θ/deg  I/Imax
11.3  39
12.3  75
15.7  67
17.2  43
19.0  80
24.2  62
28.8  39
35.3  100
35.4  80
35.9  42
36.5  83
51.4  37

=====

(7)
Calculated XRD peak list
Compound: NdCu3Se2ClO8
Radiation: λ = 1.5418 Å (Cu Kα)
Structure: a GGA-PBE-relaxed structure
Lines closer than 0.1° are merged.

Atomic structure:
```
NdCu3Se2ClO8
1.0
6.440 0.000 0.000
0.000 9.726 0.000
0.000 0.000 7.181
Nd Cu Se Cl O
2 6 4 2 16
direct
0.250 0.250 0.237
0.750 0.750 0.763
0.000 0.000 0.500
0.000 0.500 0.500
0.250 0.250 0.705
0.500 0.000 0.500
0.500 0.500 0.500
0.750 0.750 0.295
0.250 0.557 0.901
0.250 0.943 0.901
0.750 0.057 0.099
0.750 0.443 0.099
0.250 0.750 0.341
0.750 0.250 0.659
0.039 0.584 0.755
0.039 0.916 0.755
0.250 0.111 0.512
0.250 0.120 0.923
0.250 0.380 0.923
0.250 0.389 0.512
0.461 0.584 0.755
0.461 0.916 0.755
0.539 0.084 0.245
0.539 0.416 0.245
0.750 0.611 0.488
0.750 0.620 0.077
0.750 0.880 0.077
0.750 0.889 0.488
0.961 0.084 0.245
0.961 0.416 0.245
```

Principal peaks in the range 2θ from 10° to 90°, in order of rising 2θ:
2θ/deg  I/Imax
15.3  26
16.5  54
26.1  51
27.7  24
29.9  26
30.4  27
30.9  100
33.4  46
35.7  42
42.0  20
53.7  33
55.6  22

=====

(8)
Calculated XRD peak list
Compound: Nd4CuTe5Cl3O15
Radiation: λ = 1.5418 Å (Cu Kα)
Structure: a GGA-PBE-relaxed structure
Lines closer than 0.1° are merged.

Atomic structure:
```
Nd4CuTe5Cl3O15
1.0
11.632 -2.866 0.000
11.632 2.866 0.000
-10.285 0.000 14.678
Nd Cu Te Cl O
8 2 10 6 30
direct
0.000 0.000 0.000
0.153 0.266 0.129
0.360 0.479 0.301
0.366 0.453 0.073
0.521 0.640 0.699
0.547 0.634 0.927
0.734 0.847 0.871
0.948 0.052 0.500
0.023 0.563 0.587
0.437 0.977 0.413
0.097 0.288 0.687
0.251 0.157 0.912
0.350 0.432 0.852
0.413 0.397 0.522
0.568 0.650 0.148
0.603 0.587 0.478
0.712 0.903 0.313
0.843 0.749 0.088
0.907 0.083 0.767
0.917 0.093 0.233
0.144 0.243 0.499
0.204 0.176 0.278
0.331 0.470 0.678
0.530 0.669 0.322
0.757 0.856 0.501
0.824 0.796 0.722
0.115 0.771 0.199
0.116 0.650 0.926
0.162 0.478 0.149
0.192 0.028 0.652
0.229 0.713 0.564
0.229 0.885 0.801
0.287 0.771 0.436
0.331 0.638 0.906
0.333 0.187 0.795
0.336 0.031 0.995
0.350 0.884 0.074
0.362 0.669 0.094
0.455 0.145 0.982
0.480 0.144 0.241
0.522 0.838 0.851
0.535 0.289 0.425
0.614 0.197 0.935
0.618 0.249 0.202
0.700 0.257 0.603
0.711 0.465 0.575
0.743 0.300 0.397
0.751 0.382 0.798
0.803 0.386 0.065
0.813 0.667 0.205
0.837 0.142 0.118
0.855 0.545 0.018
0.856 0.520 0.759
0.858 0.163 0.882
0.969 0.664 0.005
0.972 0.808 0.348
```

Principal peaks in the range 2θ from 10° to 90°, in order of rising 2θ:
2θ/deg  I/Imax
21.8  12
25.2  51
28.1  100
29.6  21
30.0  29
30.7  19
30.9  12
31.2  24
32.1  12
44.4  16
47.7  16
53.7  13

=====

(9)
Calculated XRD peak list
Compound: Cu2ClO3
Radiation: λ = 1.5418 Å (Cu Kα)
Structure: a GGA-PBE-relaxed structure
Lines closer than 0.1° are merged.

Atomic structure:
```
Cu2ClO3
1.0
5.327 0.000 0.000
0.000 5.931 0.000
-0.064 0.000 5.358
Cu Cl O
4 2 6
direct
0.000 0.000 0.000
0.000 0.500 0.000
0.498 0.250 0.012
0.502 0.750 0.988
0.213 0.750 0.629
0.787 0.250 0.371
0.114 0.250 0.834
0.324 0.510 0.142
0.324 0.990 0.142
0.676 0.010 0.858
0.676 0.490 0.858
0.886 0.750 0.166
```

Principal peaks in the range 2θ from 10° to 90°, in order of rising 2θ:
2θ/deg  I/Imax
16.5  100
33.5  12
33.6  7
34.6  19
37.5  7
37.9  23
38.5  39
48.5  8
48.8  12
49.1  12
60.8  10
63.0  11

=====

(10)
Calculated XRD peak list
Compound: Cu2ClO3
Radiation: λ = 1.5418 Å (Cu Kα)
Structure: a GGA-PBE-relaxed structure
Lines closer than 0.1° are merged.

Atomic structure:
```
Cu2ClO3
1.0
6.328 3.654 4.458
-6.328 3.654 4.458
0.000 -7.308 4.458
Cu Cl O
16 8 24
direct
0.000 0.000 0.000
0.000 0.500 0.500
0.001 0.247 0.254
0.247 0.254 0.001
0.248 0.500 0.747
0.253 0.752 0.500
0.254 0.001 0.247
0.500 0.000 0.500
0.500 0.253 0.752
0.500 0.500 0.000
0.500 0.747 0.248
0.746 0.999 0.753
0.747 0.248 0.500
0.752 0.500 0.253
0.753 0.746 0.999
0.999 0.753 0.746
0.188 0.693 0.190
0.190 0.188 0.693
0.307 0.810 0.812
0.309 0.309 0.309
0.691 0.691 0.691
0.693 0.190 0.188
0.810 0.812 0.307
0.812 0.307 0.810
0.032 0.232 0.037
0.032 0.536 0.725
0.037 0.032 0.232
0.039 0.740 0.533
0.232 0.037 0.032
0.234 0.537 0.532
0.260 0.467 0.961
0.275 0.968 0.464
0.463 0.468 0.766
0.464 0.275 0.968
0.467 0.961 0.260
0.468 0.766 0.463
0.532 0.234 0.537
0.533 0.039 0.740
0.536 0.725 0.032
0.537 0.532 0.234
0.725 0.032 0.536
0.740 0.533 0.039
0.766 0.463 0.468
0.768 0.963 0.968
0.961 0.260 0.467
0.963 0.968 0.768
0.968 0.464 0.275
0.968 0.768 0.963
```

Principal peaks in the range 2θ from 10° to 90°, in order of rising 2θ:
2θ/deg  I/Imax
17.5  100
19.9  14
33.4  25
34.8  84
35.4  19
40.5  12
42.7  65
54.3  24
58.3  29
66.6  12
73.4  15
83.7  11